[1]
For Ca3Sn2S7, the GGA-PBE geometry in Alexandria gives the theoretical X-ray powder pattern in this record (Cu Kα (λ = 1.5418 Å)).
Kinematic intensities with the Lorentz-polarization factor, no thermal factor.

Largest 10 diffraction maxima, in order of falling intensity, 2θ = 15–90°:
- d 3.503, I = 100
- d 2.457, I = 62
- d 4.822, I = 59
- d 2.421, I = 32
- d 2.035, I = 22
- d 2.005, I = 22
- d 3.456, I = 22
- d 1.729, I = 19
- d 2.027, I = 19
- d 1.754, I = 17

Structure:
```
Ca3Sn2S7
1.0
3.4564 -12.5160 0.0000
3.4564 12.5160 0.0000
0.0000 0.0000 6.9881
Ca Sn S
6 4 14
Direct
0.0000 0.5000 0.0000
0.1682 0.2953 0.0000
0.2953 0.1682 0.5000
0.5000 0.0000 0.5000
0.7047 0.8318 0.5000
0.8318 0.7047 0.0000
0.0973 0.3837 0.5000
0.3837 0.0973 0.0000
0.6163 0.9027 0.0000
0.9027 0.6163 0.5000
0.0000 0.5000 0.5000
0.1169 0.2092 0.5000
0.1773 0.8227 0.2500
0.1773 0.8227 0.7500
0.2092 0.1169 0.0000
0.3808 0.6192 0.2500
0.3808 0.6192 0.7500
0.5000 0.0000 0.0000
0.6192 0.3808 0.2500
0.6192 0.3808 0.7500
0.7908 0.8831 0.0000
0.8227 0.1773 0.2500
0.8227 0.1773 0.7500
0.8831 0.7908 0.5000
```

***

[2]
For La4Ni3P4, the GGA-PBE geometry in Alexandria gives the theoretical X-ray powder pattern in this record (Cu Kα (λ = 1.5418 Å)).
Kinematic intensities with the Lorentz-polarization factor, no thermal factor.

Largest 10 diffraction maxima, in order of falling intensity, 2θ = 15–90°:
- d 3.588, I = 100
- d 3.094, I = 98
- d 2.174, I = 87
- d 2.781, I = 60
- d 3.529, I = 57
- d 2.202, I = 44
- d 2.531, I = 41
- d 2.074, I = 40
- d 1.964, I = 33
- d 1.505, I = 30

Structure:
```
La4Ni3P4
1.0
4.4030 2.5421 3.5289
-4.4030 2.5421 3.5289
0.0000 -5.0842 3.5289
La Ni P
4 3 4
Direct
0.0000 0.0000 0.0000
0.0564 0.4474 0.5534
0.4474 0.5534 0.0564
0.5534 0.0564 0.4474
0.3210 0.8204 0.6854
0.6854 0.3210 0.8204
0.8204 0.6854 0.3210
0.0299 0.9548 0.4960
0.4960 0.0299 0.9548
0.5405 0.5405 0.5405
0.9548 0.4960 0.0299
```

***

[3]
For CsCdGaBi2, the GGA-PBE geometry in Alexandria gives the theoretical X-ray powder pattern in this record (Cu Kα (λ = 1.5418 Å)).
Kinematic intensities with the Lorentz-polarization factor, no thermal factor.

Largest 10 diffraction maxima, in order of falling intensity, 2θ = 15–90°:
- d 3.383, I = 100
- d 2.554, I = 63
- d 2.038, I = 51
- d 2.471, I = 47
- d 3.187, I = 37
- d 3.611, I = 36
- d 2.394, I = 29
- d 4.779, I = 27
- d 1.806, I = 22
- d 1.746, I = 22

Structure:
```
CsCdGaBi2
1.0
-2.5537 2.5537 6.7749
2.5537 -2.5537 6.7749
2.5537 2.5537 -6.7749
Cs Cd Ga Bi
1 1 1 2
Direct
0.0000 0.0000 0.0000
0.2500 0.7500 0.5000
0.7500 0.2500 0.5000
0.3702 0.3702 0.0000
0.6298 0.6298 0.0000
```

***

[4]
For Li3La2NpS6, the GGA-PBE geometry in Alexandria gives the theoretical X-ray powder pattern in this record (Cu Kα (λ = 1.5418 Å)).
Kinematic intensities with the Lorentz-polarization factor, no thermal factor.

Largest 10 diffraction maxima, in order of falling intensity, 2θ = 15–90°:
- d 2.830, I = 100
- d 3.498, I = 79
- d 2.798, I = 48
- d 1.937, I = 47
- d 3.317, I = 43
- d 3.470, I = 41
- d 2.047, I = 38
- d 2.561, I = 37
- d 1.949, I = 33
- d 2.059, I = 29

Structure:
```
Li3La2NpS6
1.0
3.5398 -6.1748 0.0000
3.5398 6.1748 0.0000
-2.2909 0.0000 6.1811
Li La Np S
3 2 1 6
Direct
0.0000 0.0000 0.0000
0.3494 0.6506 0.0000
0.6506 0.3494 0.0000
0.1679 0.8321 0.5000
0.8321 0.1679 0.5000
0.5000 0.5000 0.5000
0.0959 0.4169 0.2441
0.2582 0.2582 0.7536
0.4169 0.0959 0.2441
0.5831 0.9041 0.7559
0.7418 0.7418 0.2464
0.9041 0.5831 0.7559
```